This entry pairs a crystal structure of HoMgMo with its theoretical powder diffraction line list. Radiation: Cu Kα, 1.54184 Å. Structure: the GGA-PBE geometry in OQMD.

Main lines, by intensity (2θ = 10–90°):
| 2θ/deg | Rel. int. | (hkl) |
| --- | --- | --- |
| 37.4 | 100 | 2 2 0 |
| 22.7 | 84 | 1 1 1 |
| 44.2 | 43 | 3 1 1 |
| 67.5 | 35 | 4 2 2 |
| 59.3 | 18 | 3 3 1 |
| 54.0 | 17 | 4 0 0 |
| 84.3 | 14 | 5 3 1 |
| 72.2 | 13 | 5 1 1 |
| 26.2 | 12 | 2 0 0 |
| 79.8 | 11 | 4 4 0 |

abc: 6.797 6.797 6.797
angles: 90.00 90.00 90.00
Atoms (fractional coordinates):
Ho1 0.000 0.000 0.000
Ho2 0.000 0.500 0.500
Ho3 0.500 0.000 0.500
Ho4 0.500 0.500 0.000
Mg1 0.000 0.000 0.500
Mg2 0.000 0.500 0.000
Mg3 0.500 0.000 0.000
Mg4 0.500 0.500 0.500
Mo1 0.250 0.250 0.250
Mo2 0.250 0.750 0.750
Mo3 0.750 0.250 0.750
Mo4 0.750 0.750 0.250